1.
This entry pairs a crystal structure of CeSe2 with its theoretical X-ray powder pattern. Radiation: Cu Ka. Structure: a structure optimized by DFT (GGA-PBE).

Peak list (10 most intense, 10° ≤ 2θ ≤ 80°, sorted by position)
2theta, d (Å), I_rel, h k l
14.95, 5.926, 100, 2 1 -1
15.05, 5.887, 98, 1 1 2
16.06, 5.519, 69, 1 2 -1
19.21, 4.620, 21, 0 1 3
24.57, 3.624, 23, 2 3 1
26.99, 3.303, 14, 2 0 4
36.80, 2.442, 15, 4 4 0
37.19, 2.418, 17, 1 5 2
37.86, 2.377, 16, 5 2 -3
38.15, 2.359, 14, 3 2 5

Cell and atoms:
Cell lengths 14.8302, 12.9800, 14.8351 Å; angles 90.00, 90.59, 90.00 degrees
Space group P2_1/c (No. 14)
Symmetry-distinct sites (fractional):
Ce 0.0948 0.1488 0.0881 [4 per cell]
Ce 0.1582 0.5977 0.8428 [4 per cell]
Ce 0.3350 0.6257 0.1478 [4 per cell]
Ce 0.3958 0.1343 0.9055 [4 per cell]
Se 0.0000 0.0000 0.0000 [2 per cell]
Se 0.0005 0.1714 0.5923 [4 per cell]
Se 0.1293 0.0870 0.2605 [4 per cell]
Se 0.2233 0.7287 0.7164 [4 per cell]
Se 0.2530 0.1925 0.0060 [4 per cell]
Se 0.2818 0.5752 0.9780 [4 per cell]
Se 0.3321 0.0463 0.7517 [4 per cell]
Se 0.4926 0.1959 0.3615 [4 per cell]
Se 0.5000 0.0000 0.0000 [2 per cell]


2.
This entry pairs a crystal structure of MnZn13 with its theoretical X-ray powder pattern. Radiation: Cu Ka. Structure: a structure optimized by DFT (GGA-PBE).

Peak list (10 most intense, 10° ≤ 2θ ≤ 80°, sorted by position)
2theta, d (Å), I_rel, h k l
35.51, 2.528, 22, 2 2 1
41.03, 2.200, 31, 4 0 1
41.35, 2.183, 100, 1 3 1
41.46, 2.178, 62, 3 1 -2
42.03, 2.150, 41, 2 0 2
42.62, 2.122, 73, 4 2 -1
42.74, 2.116, 41, 0 2 2
43.90, 2.063, 28, 3 3 0
44.19, 2.050, 42, 5 1 0
73.17, 1.293, 25, 5 3 2

Cell and atoms:
Cell lengths 10.8225, 7.6052, 5.1782 Å; angles 90.00, 100.46, 90.00 degrees
Space group C2/m (No. 12)
Symmetry-distinct sites (fractional):
Mn 0.0000 0.0000 0.0000 [2 per cell]
Zn 0.0000 0.0000 0.5000 [2 per cell]
Zn 0.0775 0.2964 0.8212 [8 per cell]
Zn 0.1130 0.5000 0.4334 [4 per cell]
Zn 0.1767 0.1797 0.3024 [8 per cell]
Zn 0.2208 0.0000 0.8631 [4 per cell]


3.
This entry pairs a crystal structure of Er2O3 with its theoretical X-ray powder pattern. Radiation: Cu Ka. Structure: a structure optimized by DFT (GGA-PBE).

Peak list (10 most intense, 10° ≤ 2θ ≤ 80°, sorted by position)
2theta, d (Å), I_rel, h k l
29.08, 3.071, 90, 1 1 1
29.84, 2.994, 96, 4 0 1
30.50, 2.931, 100, 4 0 -2
31.87, 2.808, 64, 0 0 3
32.45, 2.759, 99, 3 1 0
33.40, 2.683, 100, 1 1 -2
43.40, 2.085, 51, 3 1 -3
48.71, 1.869, 60, 3 1 3
54.82, 1.675, 40, 7 1 -2
56.72, 1.623, 52, 7 1 1

Cell and atoms:
Cell lengths 13.9475, 3.4604, 8.5652 Å; angles 90.00, 100.38, 90.00 degrees
Space group C2/m (No. 12)
Symmetry-distinct sites (fractional):
Er 0.0321 0.0000 0.3140 [4 per cell]
Er 0.1351 0.5000 0.9876 [4 per cell]
Er 0.1914 0.5000 0.6372 [4 per cell]
O 0.0000 0.5000 0.5000 [2 per cell]
O 0.0297 0.5000 0.1571 [4 per cell]
O 0.1276 0.0000 0.7815 [4 per cell]
O 0.1746 0.0000 0.4690 [4 per cell]
O 0.2070 0.0000 0.1226 [4 per cell]


4.
This entry pairs a crystal structure of Tm2Ge6Pt with its theoretical X-ray powder pattern. Radiation: Cu Ka. Structure: a structure optimized by DFT (GGA-PBE).

Peak list (10 most intense, 10° ≤ 2θ ≤ 80°, sorted by position)
2theta, d (Å), I_rel, h k l
16.17, 5.480, 13, 0 0 4
32.92, 2.720, 26, 1 0 6
33.48, 2.676, 100, 1 1 3
42.68, 2.118, 21, 1 1 7
43.32, 2.089, 21, 0 1 9
44.46, 2.038, 23, 2 0 0
44.64, 2.030, 23, 0 2 0
56.57, 1.627, 11, 1 2 6
63.82, 1.459, 14, 2 1 9
64.84, 1.438, 15, 2 2 0

Cell and atoms:
Cell lengths 4.0753, 4.0595, 21.9219 Å; angles 90.00, 90.00, 90.00 degrees
Space group Amm2 (No. 38)
Symmetry-distinct sites (fractional):
Tm 0.0000 0.0000 0.0000 [2 per cell]
Tm 0.0000 0.0000 0.3388 [2 per cell]
Ge 0.0000 0.0000 0.6006 [2 per cell]
Ge 0.0000 0.0000 0.7148 [2 per cell]
Ge 0.5000 0.0000 0.0993 [2 per cell]
Ge 0.5000 0.0000 0.2140 [2 per cell]
Ge 0.5000 0.0000 0.4627 [2 per cell]
Ge 0.5000 0.0000 0.8920 [2 per cell]
Pt 0.5000 0.0000 0.7817 [2 per cell]